(1)
This entry pairs a crystal structure of LaWN3 with its theoretical powder XRD pattern. Radiation: Cu Kα. Structure: DFT lattice parameters and positions (PBE).

Largest 8 diffraction maxima, by intensity, 10° ≤ 2θ ≤ 90°:
31.6°, I = 100, (1 2 1); 56.3°, I = 24, (2 4 0); 31.4°, I = 20, (0 0 2); 45.2°, I = 20, (2 0 2); 56.1°, I = 17, (1 2 3); 65.9°, I = 12, (2 4 2); 75.0°, I = 10, (1 6 1); 45.3°, I = 10, (0 4 0)

Structure:
```
data_LaWN3
_cell_length_a 5.6547
_cell_length_b 8.0022
_cell_length_c 5.6926
_cell_angle_alpha 90.00
_cell_angle_beta 90.00
_cell_angle_gamma 90.00
_space_group_name_H-M_alt 'P n m a'
_space_group_IT_number 62
loop_
_space_group_symop_operation_xyz
'x,y,z'
'-x,-y,-z'
'-x+1/2,-y,z+1/2'
'x+1/2,y,-z+1/2'
'x+1/2,-y+1/2,-z+1/2'
'-x+1/2,y+1/2,z+1/2'
'-x,y+1/2,-z'
'x,-y+1/2,z'
loop_
_atom_site_label
_atom_site_type_symbol
_atom_site_fract_x
_atom_site_fract_y
_atom_site_fract_z
_atom_site_occupancy
La1 La 0.0177 0.2500 0.0020 1
W1 W 0.0000 0.0000 0.5000 1
N1 N 0.0051 0.7500 0.4413 1
N2 N 0.2274 0.5305 0.7707 1
```

(2)
This entry pairs a crystal structure of ErPb3 with its theoretical powder XRD pattern. Radiation: Cu Kα. Structure: DFT lattice parameters and positions (PBE).

Largest 8 diffraction maxima, by intensity, 10° ≤ 2θ ≤ 90°:
31.8°, I = 100, (1 1 1); 36.8°, I = 51, (2 0 0); 63.2°, I = 43, (3 1 1); 53.1°, I = 36, (2 2 0); 87.1°, I = 19, (3 3 1); 89.9°, I = 18, (4 2 0); 66.4°, I = 13, (2 2 2); 78.4°, I = 6, (4 0 0)

Structure:
```
data_ErPb3
_cell_length_a 4.8793
_cell_length_b 4.8793
_cell_length_c 4.8793
_cell_angle_alpha 90.00
_cell_angle_beta 90.00
_cell_angle_gamma 90.00
_space_group_name_H-M_alt 'P m -3 m'
_space_group_IT_number 221
_space_group_name_Hall '-P 4 2 3'
loop_
_atom_site_label
_atom_site_type_symbol
_atom_site_fract_x
_atom_site_fract_y
_atom_site_fract_z
_atom_site_occupancy
Er1 Er 0.0000 0.0000 0.0000 1
Pb1 Pb 0.0000 0.5000 0.5000 1
```

(3)
This entry pairs a crystal structure of BaCaSi with its theoretical powder XRD pattern. Radiation: Cu Kα. Structure: DFT lattice parameters and positions (PBE).

Largest 8 diffraction maxima, by intensity, 10° ≤ 2θ ≤ 90°:
28.2°, I = 100, (1 1 2); 28.9°, I = 93, (2 1 1); 20.0°, I = 41, (0 1 1); 31.0°, I = 38, (1 0 3); 35.4°, I = 32, (0 2 0); 20.7°, I = 23, (2 0 0); 47.7°, I = 22, (1 2 3); 54.3°, I = 22, (3 1 4)

Structure:
```
data_BaCaSi
_cell_length_a 8.5778
_cell_length_b 5.0725
_cell_length_c 9.1907
_cell_angle_alpha 90.00
_cell_angle_beta 90.00
_cell_angle_gamma 90.00
_space_group_name_H-M_alt 'P n m a'
_space_group_IT_number 62
loop_
_space_group_symop_operation_xyz
'x,y,z'
'-x,-y,-z'
'-x+1/2,-y,z+1/2'
'x+1/2,y,-z+1/2'
'x+1/2,-y+1/2,-z+1/2'
'-x+1/2,y+1/2,z+1/2'
'-x,y+1/2,-z'
'x,-y+1/2,z'
loop_
_atom_site_label
_atom_site_type_symbol
_atom_site_fract_x
_atom_site_fract_y
_atom_site_fract_z
_atom_site_occupancy
Ba1 Ba 0.0285 0.2500 0.1757 1
Ca1 Ca 0.1414 0.2500 0.5742 1
Si1 Si 0.2184 0.7500 0.3914 1
```

(4)
This entry pairs a crystal structure of K3Sn5Cl3F10 with its theoretical powder XRD pattern. Radiation: Cu Kα. Structure: DFT lattice parameters and positions (PBE).

Largest 8 diffraction maxima, by intensity, 10° ≤ 2θ ≤ 90°:
25.9°, I = 100, (1 3 2); 29.9°, I = 86, (1 3 4); 50.3°, I = 53, (1 3 10); 41.2°, I = 50, (2 0 0); 24.8°, I = 47, (1 3 1); 18.0°, I = 47, (0 4 0); 27.4°, I = 46, (0 6 1); 46.3°, I = 43, (1 9 0)

Structure:
```
data_K3Sn5Cl3F10
_cell_length_a 4.3785
_cell_length_b 19.7541
_cell_length_c 20.9094
_cell_angle_alpha 90.00
_cell_angle_beta 90.00
_cell_angle_gamma 90.00
_space_group_name_H-M_alt 'C m c m'
_space_group_IT_number 63
_space_group_name_Hall '-C 2c 2'
loop_
_atom_site_label
_atom_site_type_symbol
_atom_site_fract_x
_atom_site_fract_y
_atom_site_fract_z
_atom_site_occupancy
K1 K 0.0000 0.0000 0.0000 1
K2 K 0.0000 0.4405 0.1627 1
Sn1 Sn 0.0000 0.1268 0.1493 1
Sn2 Sn 0.0000 0.2024 0.7500 1
Sn3 Sn 0.0000 0.3285 0.9996 1
Cl1 Cl 0.0000 0.1844 0.6129 1
Cl2 Cl 0.0000 0.4206 0.7500 1
F1 F 0.0000 0.0247 0.1277 1
F2 F 0.0000 0.0958 0.7500 1
F3 F 0.0000 0.1431 0.0382 1
F4 F 0.0000 0.3264 0.2500 1
F5 F 0.0000 0.3745 0.6015 1
F6 F 0.0000 0.4270 0.0333 1
```

(5)
This entry pairs a crystal structure of TlGeBr3 with its theoretical powder XRD pattern. Radiation: Cu Kα. Structure: DFT lattice parameters and positions (PBE).

Largest 8 diffraction maxima, by intensity, 10° ≤ 2θ ≤ 90°:
32.2°, I = 100, (2 2 0); 27.9°, I = 74, (0 2 1); 45.9°, I = 36, (2 2 -2); 22.5°, I = 33, (2 0 0); 22.8°, I = 33, (1 1 1); 27.4°, I = 27, (2 0 -1); 46.6°, I = 23, (2 2 2); 39.8°, I = 16, (3 1 1)

Structure:
```
data_TlGeBr3
_cell_length_a 7.9119
_cell_length_b 7.8152
_cell_length_c 5.5513
_cell_angle_alpha 90.00
_cell_angle_beta 91.25
_cell_angle_gamma 90.00
_space_group_name_H-M_alt 'C 1 m 1'
_space_group_IT_number 8
loop_
_space_group_symop_operation_xyz
'x,y,z'
'x,-y,z'
'x+1/2,y+1/2,z'
'x+1/2,-y+1/2,z'
loop_
_atom_site_label
_atom_site_type_symbol
_atom_site_fract_x
_atom_site_fract_y
_atom_site_fract_z
_atom_site_occupancy
Tl1 Tl 0.0000 0.0000 0.0000 1
Ge1 Ge 0.0124 0.5000 0.4633 1
Br1 Br 0.2388 0.2542 0.4782 1
Br2 Br 0.4856 0.0000 0.9898 1
```

(6)
This entry pairs a crystal structure of TmNbO4 with its theoretical powder XRD pattern. Radiation: Cu Kα. Structure: DFT lattice parameters and positions (PBE).

Largest 8 diffraction maxima, by intensity, 10° ≤ 2θ ≤ 90°:
28.5°, I = 100, (0 2 1); 30.1°, I = 87, (2 2 -1); 47.8°, I = 48, (0 0 2); 56.7°, I = 31, (2 2 1); 48.8°, I = 28, (2 4 -2); 32.6°, I = 23, (0 4 0); 34.0°, I = 21, (2 0 0); 35.3°, I = 17, (2 0 -2)

Structure:
```
data_TmNbO4
_cell_length_a 7.0621
_cell_length_b 10.9733
_cell_length_c 5.1047
_cell_angle_alpha 90.00
_cell_angle_beta 131.77
_cell_angle_gamma 90.00
_space_group_name_H-M_alt 'C 1 2/c 1'
_space_group_IT_number 15
loop_
_space_group_symop_operation_xyz
'x,y,z'
'-x,-y,-z'
'-x,y,-z+1/2'
'x,-y,z+1/2'
'x+1/2,y+1/2,z'
'-x+1/2,-y+1/2,-z'
'-x+1/2,y+1/2,-z+1/2'
'x+1/2,-y+1/2,z+1/2'
loop_
_atom_site_label
_atom_site_type_symbol
_atom_site_fract_x
_atom_site_fract_y
_atom_site_fract_z
_atom_site_occupancy
Tm1 Tm 0.0000 0.1287 0.2500 1
Nb1 Nb 0.0000 0.3927 0.7500 1
O1 O 0.1624 0.2884 0.6594 1
O2 O 0.2488 0.0319 0.7880 1
```

(7)
This entry pairs a crystal structure of Rb2LiTiF6 with its theoretical powder XRD pattern. Radiation: Cu Kα. Structure: DFT lattice parameters and positions (PBE).

Largest 8 diffraction maxima, by intensity, 10° ≤ 2θ ≤ 90°:
30.1°, I = 100, (2 2 0); 37.1°, I = 61, (2 2 2); 43.1°, I = 60, (4 0 0); 53.5°, I = 39, (4 2 2); 62.6°, I = 35, (4 4 0); 86.8°, I = 21, (6 4 2); 21.2°, I = 20, (2 0 0); 18.3°, I = 18, (1 1 1)

Structure:
```
data_Rb2LiTiF6
_cell_length_a 8.3955
_cell_length_b 8.3955
_cell_length_c 8.3955
_cell_angle_alpha 90.00
_cell_angle_beta 90.00
_cell_angle_gamma 90.00
_space_group_name_H-M_alt 'F m -3 m'
_space_group_IT_number 225
_space_group_name_Hall '-F 4 2 3'
loop_
_atom_site_label
_atom_site_type_symbol
_atom_site_fract_x
_atom_site_fract_y
_atom_site_fract_z
_atom_site_occupancy
Rb1 Rb 0.2500 0.2500 0.2500 1
Li1 Li 0.0000 0.0000 0.0000 1
Ti1 Ti 0.0000 0.0000 0.5000 1
F1 F 0.0000 0.0000 0.2610 1
```

(8)
This entry pairs a crystal structure of Nd4Rh6Pb19 with its theoretical powder XRD pattern. Radiation: Cu Kα. Structure: DFT lattice parameters and positions (PBE).

Largest 8 diffraction maxima, by intensity, 10° ≤ 2θ ≤ 90°:
32.0°, I = 100, (3 3 0); 38.7°, I = 28, (4 1 3); 23.7°, I = 20, (3 0 1); 44.5°, I = 19, (4 3 3); 57.0°, I = 18, (6 3 3); 28.1°, I = 18, (3 2 1); 45.8°, I = 14, (6 0 0); 30.1°, I = 14, (4 0 0)

Structure:
```
data_Nd4Rh6Pb19
_cell_length_a 11.8753
_cell_length_b 11.8753
_cell_length_c 11.8753
_cell_angle_alpha 90.00
_cell_angle_beta 90.00
_cell_angle_gamma 90.00
_space_group_name_H-M_alt 'I 2 3'
_space_group_IT_number 197
_space_group_name_Hall 'I 2 2 3'
loop_
_atom_site_label
_atom_site_type_symbol
_atom_site_fract_x
_atom_site_fract_y
_atom_site_fract_z
_atom_site_occupancy
Nd1 Nd 0.1704 0.1704 0.8296 1
Rh1 Rh 0.0000 0.3791 0.5000 1
Pb1 Pb 0.0000 0.0000 0.0000 1
Pb2 Pb 0.0000 0.0000 0.3065 1
Pb3 Pb 0.0508 0.3205 0.2806 1
```